This entry pairs a crystal structure of Ga3SiNi4 with its simulated powder X-ray diffraction pattern. Radiation: a wavelength of 1.5418 Å. Structure: a DFT-relaxed cell (PBE, Alexandria).
Lines closer than 0.1° are merged.

Structural model:
```
data_Ga3SiNi4
_chemical_formula_sum 'Ga3 Si1 Ni4'
_cell_length_a 4.628
_cell_length_b 4.628
_cell_length_c 4.628
_cell_angle_alpha 91.11
_cell_angle_beta 91.11
_cell_angle_gamma 91.11
_space_group_name_H-M_alt 'P 1'
_space_group_IT_number 1
_space_group_name_Hall 'P 1'
loop_
_atom_site_label
_atom_site_fract_x
_atom_site_fract_y
_atom_site_fract_z
_atom_site_occupancy
Ga1 0.043 0.733 0.224 1
Ga2 0.224 0.043 0.733 1
Ga3 0.733 0.224 0.043 1
Si1 0.543 0.543 0.543 1
Ni1 0.021 0.526 0.728 1
Ni2 0.252 0.252 0.252 1
Ni3 0.526 0.728 0.021 1
Ni4 0.728 0.021 0.526 1
```

The 8 most intense peaks (2θ = 10–80°), low angle first:
2θ/deg  I (rel.)
34.2  15
38.9  19
43.4  100
44.1  70
47.7  14
48.0  58
49.0  20
76.2  15



This entry pairs a crystal structure of HfGe with its simulated powder X-ray diffraction pattern. Radiation: a wavelength of 1.5418 Å. Structure: a DFT-relaxed cell (PBE, Alexandria).
Lines closer than 0.1° are merged.

Structural model:
```
data_HfGe
_chemical_formula_sum 'Hf6 Ge6'
_cell_length_a 4.724
_cell_length_b 15.983
_cell_length_c 3.064
_cell_angle_alpha 90.00
_cell_angle_beta 90.00
_cell_angle_gamma 90.00
_space_group_name_H-M_alt 'P 1'
_space_group_IT_number 1
_space_group_name_Hall 'P 1'
loop_
_atom_site_label
_atom_site_fract_x
_atom_site_fract_y
_atom_site_fract_z
_atom_site_occupancy
Hf1 0.250 0.082 0.075 1
Hf2 0.250 0.418 0.075 1
Hf3 0.250 0.750 0.549 1
Hf4 0.750 0.250 0.451 1
Hf5 0.750 0.582 0.925 1
Hf6 0.750 0.918 0.925 1
Ge1 0.250 0.250 0.980 1
Ge2 0.250 0.579 0.410 1
Ge3 0.250 0.921 0.410 1
Ge4 0.750 0.079 0.590 1
Ge5 0.750 0.421 0.590 1
Ge6 0.750 0.750 0.020 1
```

The 8 most intense peaks (2θ = 10–80°), low angle first:
2θ/deg  I (rel.)
25.2  51
33.6  77
35.4  100
38.1  55
45.3  57
51.7  46
53.7  26
67.1  16



This entry pairs a crystal structure of Pa3P4 with its simulated powder X-ray diffraction pattern. Radiation: a wavelength of 1.5418 Å. Structure: a DFT-relaxed cell (PBE, Alexandria).
Lines closer than 0.1° are merged.

Structural model:
```
data_Pa3P4
_chemical_formula_sum 'Pa6 P8'
_cell_length_a 7.169
_cell_length_b 7.169
_cell_length_c 7.169
_cell_angle_alpha 109.47
_cell_angle_beta 109.47
_cell_angle_gamma 109.47
_space_group_name_H-M_alt 'P 1'
_space_group_IT_number 1
_space_group_name_Hall 'P 1'
loop_
_atom_site_label
_atom_site_fract_x
_atom_site_fract_y
_atom_site_fract_z
_atom_site_occupancy
Pa1 0.125 0.875 0.250 1
Pa2 0.250 0.125 0.875 1
Pa3 0.375 0.625 0.750 1
Pa4 0.625 0.750 0.375 1
Pa5 0.750 0.375 0.625 1
Pa6 0.875 0.250 0.125 1
P1 0.000 0.159 0.500 1
P2 0.000 0.659 0.500 1
P3 0.159 0.500 0.000 1
P4 0.341 0.341 0.341 1
P5 0.500 0.000 0.159 1
P6 0.500 0.000 0.659 1
P7 0.659 0.500 0.000 1
P8 0.841 0.841 0.841 1
```

The 8 most intense peaks (2θ = 10–80°), low angle first:
2θ/deg  I (rel.)
26.4  100
34.3  62
40.8  40
49.2  33
51.8  22
56.7  27
70.1  29
74.3  12